The following is a theoretical powder diffraction line list of LuFe2Co. It was derived from the PBE geometry in OQMD, using Cu Ka.
Peak positions follow from Bragg's law for the DFT cell and can differ from measured ones.

Largest 8 diffraction maxima, by intensity, 2θ = 5–70°:
two_theta	I (rel.)	hkl
42.9	100	1 1 6
36.3	54	1 1 0
33.3	51	1 0 7
42.3	34	0 2 1
36.4	33	0 1 8
69.8	22	3 0 6
65.3	21	3 0 0
63.4	16	2 1 7

Crystal structure
a = 4.9532 Å, b = 4.9532 Å, c = 24.1517 Å
α = 90.00°, β = 90.00°, γ = 120.00°
Space group R-3m (No. 166, hexagonal axes)
Unique sites:
Lu1 0.0000 0.0000 0.0000
Lu2 0.0000 0.0000 0.1423
Fe1 0.0019 0.5009 0.9176
Co1 0.0000 0.0000 0.3332
Co2 0.0000 0.0000 0.5000

The following is a theoretical powder diffraction line list of Lu3Fe8Co. It was derived from the PBE geometry in OQMD, using Cu Ka.
Peak positions follow from Bragg's law for the DFT cell and can differ from measured ones.

Largest 8 diffraction maxima, by intensity, 2θ = 5–70°:
two_theta	I (rel.)	hkl
42.9	100	1 1 6
36.2	59	1 1 0
33.4	55	1 0 7
42.2	38	0 2 1
36.5	37	0 1 8
69.7	23	3 0 6
63.3	18	2 1 7
21.0	18	1 0 1

Crystal structure
a = 4.9675 Å, b = 4.9675 Å, c = 23.9969 Å
α = 90.00°, β = 90.00°, γ = 120.00°
Space group R-3m (No. 166, hexagonal axes)
Unique sites:
Lu1 0.0000 0.0000 0.0000
Lu2 0.0000 0.0000 0.1421
Fe1 0.0000 0.0000 0.3330
Fe2 0.0013 0.5007 0.9178
Co1 0.0000 0.0000 0.5000

The following is a theoretical powder diffraction line list of Tm2LuFe8Co. It was derived from the PBE geometry in OQMD, using Cu Ka.
Peak positions follow from Bragg's law for the DFT cell and can differ from measured ones.

Largest 8 diffraction maxima, by intensity, 2θ = 5–70°:
two_theta	I (rel.)	hkl
42.7	100	1 1 6
36.1	58	1 1 0
33.3	54	1 0 7
42.0	38	0 2 1
36.4	37	0 1 8
69.4	22	3 0 6
63.1	18	2 1 7
20.9	17	1 0 1

Crystal structure
a = 4.9823 Å, b = 4.9823 Å, c = 24.0677 Å
α = 90.00°, β = 90.00°, γ = 120.00°
Space group R-3m (No. 166, hexagonal axes)
Unique sites:
Tm1 0.0000 0.0000 0.1420
Lu1 0.0000 0.0000 0.0000
Fe1 0.0000 0.0000 0.3329
Fe2 0.0010 0.5005 0.9182
Co1 0.0000 0.0000 0.5000

What did the first record say?
The following is a theoretical powder diffraction line list of LuFe2Co. It was derived from the PBE geometry in OQMD, using Cu Ka.
Peak positions follow from Bragg's law for the DFT cell and can differ from measured ones.

Largest 8 diffraction maxima, by intensity, 2θ = 5–70°:
two_theta	I (rel.)	hkl
42.9	100	1 1 6
36.3	54	1 1 0
33.3	51	1 0 7
42.3	34	0 2 1
36.4	33	0 1 8
69.8	22	3 0 6
65.3	21	3 0 0
63.4	16	2 1 7

Crystal structure
a = 4.9532 Å, b = 4.9532 Å, c = 24.1517 Å
α = 90.00°, β = 90.00°, γ = 120.00°
Space group R-3m (No. 166, hexagonal axes)
Unique sites:
Lu1 0.0000 0.0000 0.0000
Lu2 0.0000 0.0000 0.1423
Fe1 0.0019 0.5009 0.9176
Co1 0.0000 0.0000 0.3332
Co2 0.0000 0.0000 0.5000